# 1
This entry pairs a crystal structure of Pr2CBr with its calculated X-ray diffraction stick pattern. Radiation: copper Kα. Structure: a cell relaxed with PBE.
No peak broadening, texture or thermal motion is included.

Largest 10 diffraction maxima, sorted by position, 10 to 90 degrees two-theta:
- hkl 1 0 0, 26.74 deg, I 24
- hkl 1 0 1, 27.40 deg, I 6
- hkl 1 0 3, 32.24 deg, I 100
- hkl 0 0 6, 35.78 deg, I 15
- hkl 1 0 6, 45.23 deg, I 13
- hkl 1 1 0, 47.22 deg, I 25
- hkl 2 0 3, 58.33 deg, I 18
- hkl 1 1 6, 60.63 deg, I 19
- hkl 1 0 9, 62.08 deg, I 13
- hkl 2 1 3, 78.22 deg, I 15

Crystal structure
```
data_Pr2CBr
_cell_length_a 3.8495
_cell_length_b 3.8495
_cell_length_c 15.0559
_cell_angle_alpha 90.00
_cell_angle_beta 90.00
_cell_angle_gamma 120.00
_symmetry_space_group_name_H-M 'P 63/m m c'
_symmetry_Int_Tables_number 194
_symmetry_space_group_name_Hall '-P 6c 2c'
loop_
_atom_site_label
_atom_site_fract_x
_atom_site_fract_y
_atom_site_fract_z
Pr1 0.3333 0.6667 0.0921
C1 0.0000 0.0000 0.0000
Br1 0.3333 0.6667 0.7500
```

# 2
This entry pairs a crystal structure of TbCBr with its calculated X-ray diffraction stick pattern. Radiation: copper Kα. Structure: a cell relaxed with PBE.
No peak broadening, texture or thermal motion is included.

Largest 10 diffraction maxima, sorted by position, 10 to 90 degrees two-theta:
- hkl 0 0 2, 17.03 deg, I 30
- hkl 1 1 0, 26.64 deg, I 41
- hkl 1 1 -1, 27.33 deg, I 31
- hkl 2 0 1, 28.31 deg, I 100
- hkl 1 1 -2, 30.57 deg, I 86
- hkl 1 1 2, 32.96 deg, I 42
- hkl 2 0 -3, 33.22 deg, I 60
- hkl 1 1 -3, 35.74 deg, I 86
- hkl 3 1 -1, 45.25 deg, I 47
- hkl 1 1 4, 45.85 deg, I 51

Crystal structure
```
data_TbCBr
_cell_length_a 7.078
_cell_length_b 3.813
_cell_length_c 10.565
_cell_angle_alpha 90.00
_cell_angle_beta 99.66
_cell_angle_gamma 90.00
_symmetry_space_group_name_H-M 'C 1 2/m 1'
_symmetry_Int_Tables_number 12
_symmetry_space_group_name_Hall '-C 2y'
loop_
_atom_site_label
_atom_site_fract_x
_atom_site_fract_y
_atom_site_fract_z
Tb1 0.093 0.000 0.360
C1 0.088 0.500 0.535
Br1 0.205 0.500 0.179
```

# 3
This entry pairs a crystal structure of Tb2CBr with its calculated X-ray diffraction stick pattern. Radiation: copper Kα. Structure: a cell relaxed with PBE.
No peak broadening, texture or thermal motion is included.

Largest 10 diffraction maxima, sorted by position, 10 to 90 degrees two-theta:
- hkl 1 0 0, 27.83 deg, I 25
- hkl 1 0 1, 28.54 deg, I 7
- hkl 1 0 3, 33.72 deg, I 100
- hkl 0 0 6, 37.84 deg, I 15
- hkl 1 0 6, 47.62 deg, I 13
- hkl 1 1 0, 49.23 deg, I 24
- hkl 2 0 3, 61.00 deg, I 18
- hkl 1 1 6, 63.72 deg, I 20
- hkl 1 0 9, 65.72 deg, I 13
- hkl 2 1 3, 82.08 deg, I 16

Crystal structure
```
data_Tb2CBr
_cell_length_a 3.7015
_cell_length_b 3.7015
_cell_length_c 14.2644
_cell_angle_alpha 90.00
_cell_angle_beta 90.00
_cell_angle_gamma 120.00
_symmetry_space_group_name_H-M 'P 63/m m c'
_symmetry_Int_Tables_number 194
_symmetry_space_group_name_Hall '-P 6c 2c'
loop_
_atom_site_label
_atom_site_fract_x
_atom_site_fract_y
_atom_site_fract_z
Tb1 0.3333 0.6667 0.0902
C1 0.0000 0.0000 0.0000
Br1 0.3333 0.6667 0.7500
```

# 4
This entry pairs a crystal structure of Tb4C2Br3 with its calculated X-ray diffraction stick pattern. Radiation: copper Kα. Structure: a cell relaxed with PBE.
No peak broadening, texture or thermal motion is included.

Largest 10 diffraction maxima, sorted by position, 10 to 90 degrees two-theta:
- hkl 2 1 0, 29.19 deg, I 27
- hkl 2 1 2, 30.49 deg, I 43
- hkl 0 1 5, 32.55 deg, I 100
- hkl 4 0 0, 33.16 deg, I 57
- hkl 2 0 7, 34.86 deg, I 48
- hkl 4 1 5, 47.15 deg, I 61
- hkl 0 2 0, 49.08 deg, I 21
- hkl 4 2 0, 60.52 deg, I 20
- hkl 2 2 7, 61.61 deg, I 21
- hkl 2 1 12, 62.27 deg, I 26

Crystal structure
```
data_Tb4C2Br3
_cell_length_a 10.806
_cell_length_b 3.712
_cell_length_c 20.488
_cell_angle_alpha 90.00
_cell_angle_beta 90.00
_cell_angle_gamma 90.00
_symmetry_space_group_name_H-M 'P n m a'
_symmetry_Int_Tables_number 62
_symmetry_space_group_name_Hall '-P 2ac 2n'
loop_
_atom_site_label
_atom_site_fract_x
_atom_site_fract_y
_atom_site_fract_z
Tb1 0.098 0.250 0.172
Tb2 0.128 0.250 0.333
Tb3 0.137 0.250 0.921
Tb4 0.138 0.250 0.756
C1 0.112 0.750 0.250
C2 0.137 0.750 0.845
Br1 0.110 0.750 0.447
Br2 0.127 0.750 0.048
Br3 0.139 0.750 0.644
```

# 5
This entry pairs a crystal structure of Ca2CdBr6O12 with its calculated X-ray diffraction stick pattern. Radiation: copper Kα. Structure: a cell relaxed with PBE.
No peak broadening, texture or thermal motion is included.

Largest 10 diffraction maxima, sorted by position, 10 to 90 degrees two-theta:
- hkl 1 1 -1, 12.16 deg, I 70
- hkl 0 0 2, 12.84 deg, I 100
- hkl 3 1 0, 22.91 deg, I 50
- hkl 3 1 -3, 24.73 deg, I 52
- hkl 0 0 4, 25.84 deg, I 82
- hkl 3 1 -4, 28.47 deg, I 46
- hkl 2 2 2, 29.36 deg, I 54
- hkl 4 0 -4, 30.51 deg, I 55
- hkl 0 2 4, 32.35 deg, I 95
- hkl 3 1 -5, 33.15 deg, I 48

Crystal structure
```
data_Ca2CdBr6O12
_cell_length_a 13.736
_cell_length_b 9.282
_cell_length_c 14.774
_cell_angle_alpha 90.00
_cell_angle_beta 111.06
_cell_angle_gamma 90.00
_symmetry_space_group_name_H-M 'C 1 2/c 1'
_symmetry_Int_Tables_number 15
_symmetry_space_group_name_Hall '-C 2yc'
loop_
_atom_site_label
_atom_site_fract_x
_atom_site_fract_y
_atom_site_fract_z
Ca1 0.121 0.245 0.033
Cd1 0.250 0.250 0.500
Br1 0.097 0.437 0.386
Br2 0.152 0.022 0.380
Br3 0.152 0.121 0.638
O1 0.010 0.304 0.404
O2 0.019 0.124 0.583
O3 0.095 0.405 0.643
O4 0.145 0.481 0.146
O5 0.196 0.053 0.131
O6 0.208 0.149 0.931
```

# 6
This entry pairs a crystal structure of Ca2CdBr6O12 with its calculated X-ray diffraction stick pattern. Radiation: copper Kα. Structure: a cell relaxed with PBE.
No peak broadening, texture or thermal motion is included.

Largest 10 diffraction maxima, sorted by position, 10 to 90 degrees two-theta:
- hkl 0 0 2, 11.87 deg, I 82
- hkl 0 2 2, 22.31 deg, I 54
- hkl 0 0 4, 23.87 deg, I 50
- hkl 4 0 0, 26.97 deg, I 66
- hkl 4 0 -4, 27.19 deg, I 36
- hkl 3 1 2, 29.24 deg, I 41
- hkl 0 2 4, 30.59 deg, I 100
- hkl 4 2 0, 33.11 deg, I 37
- hkl 4 2 -4, 33.29 deg, I 35
- hkl 2 4 0, 40.68 deg, I 40

Crystal structure
```
data_Ca2CdBr6O12
_cell_length_a 14.681
_cell_length_b 9.417
_cell_length_c 16.555
_cell_angle_alpha 90.00
_cell_angle_beta 115.76
_cell_angle_gamma 90.00
_symmetry_space_group_name_H-M 'C 1 2/c 1'
_symmetry_Int_Tables_number 15
_symmetry_space_group_name_Hall '-C 2yc'
loop_
_atom_site_label
_atom_site_fract_x
_atom_site_fract_y
_atom_site_fract_z
Ca1 0.135 0.020 0.018
Cd1 0.000 0.500 0.000
Br1 0.014 0.247 0.373
Br2 0.028 0.262 0.620
Br3 0.236 0.355 0.135
O1 0.028 0.088 0.572
O2 0.064 0.424 0.415
O3 0.198 0.092 0.923
O4 0.215 0.199 0.366
O5 0.223 0.172 0.131
O6 0.247 0.182 0.608
```

# 7
This entry pairs a crystal structure of Ca6Br2N3Cl with its calculated X-ray diffraction stick pattern. Radiation: copper Kα. Structure: a cell relaxed with PBE.
No peak broadening, texture or thermal motion is included.

Largest 10 diffraction maxima, sorted by position, 10 to 90 degrees two-theta:
- hkl 1 0 1, 28.18 deg, I 29
- hkl 1 0 4, 32.96 deg, I 100
- hkl 0 1 5, 35.54 deg, I 43
- hkl 0 0 9, 39.54 deg, I 15
- hkl 0 1 8, 45.29 deg, I 21
- hkl 1 1 0, 49.24 deg, I 34
- hkl 0 2 4, 60.53 deg, I 15
- hkl 1 1 9, 64.91 deg, I 20
- hkl 1 0 13, 65.99 deg, I 10
- hkl 2 1 4, 81.68 deg, I 12

Crystal structure
```
data_Ca6Br2N3Cl
_cell_length_a 3.7008
_cell_length_b 3.7008
_cell_length_c 20.5145
_cell_angle_alpha 90.00
_cell_angle_beta 90.00
_cell_angle_gamma 120.00
_symmetry_space_group_name_H-M 'P -3 m 1'
_symmetry_Int_Tables_number 164
_symmetry_space_group_name_Hall '-P 3 2"'
loop_
_atom_site_label
_atom_site_fract_x
_atom_site_fract_y
_atom_site_fract_z
Ca1 0.0000 0.0000 0.2224
Ca2 0.3333 0.6667 0.4406
Ca3 0.3333 0.6667 0.8972
Br1 0.3333 0.6667 0.6681
N1 0.0000 0.0000 0.5000
N2 0.3333 0.6667 0.1627
Cl1 0.0000 0.0000 0.0000
```

# 8
This entry pairs a crystal structure of CaNb2CuBrO7 with its calculated X-ray diffraction stick pattern. Radiation: copper Kα. Structure: a cell relaxed with PBE.
No peak broadening, texture or thermal motion is included.

Largest 10 diffraction maxima, sorted by position, 10 to 90 degrees two-theta:
- hkl 1 0 0, 22.47 deg, I 66
- hkl 0 0 3, 23.06 deg, I 81
- hkl 1 0 2, 27.30 deg, I 73
- hkl 1 1 0, 31.98 deg, I 100
- hkl 1 0 3, 32.41 deg, I 37
- hkl 1 1 3, 39.80 deg, I 26
- hkl 2 0 0, 45.86 deg, I 64
- hkl 2 0 3, 51.94 deg, I 34
- hkl 1 1 6, 58.09 deg, I 28
- hkl 2 0 6, 67.87 deg, I 28

Crystal structure
```
data_CaNb2CuBrO7
_cell_length_a 3.958
_cell_length_b 3.958
_cell_length_c 11.569
_cell_angle_alpha 90.00
_cell_angle_beta 90.00
_cell_angle_gamma 90.00
_symmetry_space_group_name_H-M 'P 4/m m m'
_symmetry_Int_Tables_number 123
_symmetry_space_group_name_Hall '-P 4 2'
loop_
_atom_site_label
_atom_site_fract_x
_atom_site_fract_y
_atom_site_fract_z
Ca1 0.000 0.000 0.000
Nb1 0.500 0.500 0.184
Cu1 0.500 0.500 0.500
Br1 0.000 0.000 0.500
O1 0.000 0.500 0.154
O2 0.500 0.500 0.000
O3 0.500 0.500 0.345
```

# 9
This entry pairs a crystal structure of Ca2Nb3CuBrO10 with its calculated X-ray diffraction stick pattern. Radiation: copper Kα. Structure: a cell relaxed with PBE.
No peak broadening, texture or thermal motion is included.

Largest 10 diffraction maxima, sorted by position, 10 to 90 degrees two-theta:
- hkl 0 0 4, 22.43 deg, I 91
- hkl 1 0 3, 28.13 deg, I 47
- hkl 1 1 0, 31.90 deg, I 100
- hkl 2 0 0, 45.72 deg, I 43
- hkl 0 0 8, 45.83 deg, I 15
- hkl 2 0 4, 51.50 deg, I 27
- hkl 2 1 3, 54.55 deg, I 15
- hkl 1 1 8, 56.88 deg, I 29
- hkl 2 2 0, 66.70 deg, I 29
- hkl 3 1 0, 75.80 deg, I 13

Crystal structure
```
data_Ca2Nb3CuBrO10
_cell_length_a 3.969
_cell_length_b 3.969
_cell_length_c 15.840
_cell_angle_alpha 90.00
_cell_angle_beta 90.00
_cell_angle_gamma 90.00
_symmetry_space_group_name_H-M 'P 4/m m m'
_symmetry_Int_Tables_number 123
_symmetry_space_group_name_Hall '-P 4 2'
loop_
_atom_site_label
_atom_site_fract_x
_atom_site_fract_y
_atom_site_fract_z
Ca1 0.000 0.000 0.144
Nb1 0.500 0.500 0.000
Nb2 0.500 0.500 0.268
Cu1 0.500 0.500 0.500
Br1 0.000 0.000 0.500
O1 0.000 0.500 0.000
O2 0.000 0.500 0.240
O3 0.500 0.500 0.125
O4 0.500 0.500 0.382
```

# 10
This entry pairs a crystal structure of Ca3Cu2Br2O4 with its calculated X-ray diffraction stick pattern. Radiation: copper Kα. Structure: a cell relaxed with PBE.
No peak broadening, texture or thermal motion is included.

Largest 10 diffraction maxima, sorted by position, 10 to 90 degrees two-theta:
- hkl 1 0 1, 23.23 deg, I 17
- hkl 1 0 5, 29.65 deg, I 12
- hkl 0 0 8, 29.89 deg, I 19
- hkl 1 1 0, 32.64 deg, I 67
- hkl 1 0 7, 34.99 deg, I 100
- hkl 1 0 9, 41.17 deg, I 23
- hkl 2 0 0, 46.84 deg, I 43
- hkl 2 1 7, 59.78 deg, I 38
- hkl 2 2 0, 68.40 deg, I 12
- hkl 2 0 16, 81.25 deg, I 12

Crystal structure
```
data_Ca3Cu2Br2O4
_cell_length_a 3.880
_cell_length_b 3.880
_cell_length_c 23.918
_cell_angle_alpha 90.00
_cell_angle_beta 90.00
_cell_angle_gamma 90.00
_symmetry_space_group_name_H-M 'I 4/m m m'
_symmetry_Int_Tables_number 139
_symmetry_space_group_name_Hall '-I 4 2'
loop_
_atom_site_label
_atom_site_fract_x
_atom_site_fract_y
_atom_site_fract_z
Ca1 0.000 0.000 0.000
Ca2 0.000 0.000 0.133
Cu1 0.000 0.000 0.434
Br1 0.000 0.000 0.308
O1 0.000 0.500 0.068
```

# 11
This entry pairs a crystal structure of Ca2CuBr2O2 with its calculated X-ray diffraction stick pattern. Radiation: copper Kα. Structure: a cell relaxed with PBE.
No peak broadening, texture or thermal motion is included.

Largest 10 diffraction maxima, sorted by position, 10 to 90 degrees two-theta:
- hkl 1 0 1, 23.44 deg, I 25
- hkl 1 0 3, 27.49 deg, I 22
- hkl 0 0 6, 30.30 deg, I 19
- hkl 1 1 0, 32.60 deg, I 76
- hkl 1 0 5, 34.27 deg, I 100
- hkl 1 0 7, 42.67 deg, I 31
- hkl 2 0 0, 46.77 deg, I 40
- hkl 2 1 5, 59.25 deg, I 37
- hkl 2 1 7, 65.15 deg, I 16
- hkl 1 1 12, 72.78 deg, I 13

Crystal structure
```
data_Ca2CuBr2O2
_cell_length_a 3.885
_cell_length_b 3.885
_cell_length_c 17.698
_cell_angle_alpha 90.00
_cell_angle_beta 90.00
_cell_angle_gamma 90.00
_symmetry_space_group_name_H-M 'I 4/m m m'
_symmetry_Int_Tables_number 139
_symmetry_space_group_name_Hall '-I 4 2'
loop_
_atom_site_label
_atom_site_fract_x
_atom_site_fract_y
_atom_site_fract_z
Ca1 0.000 0.000 0.089
Cu1 0.000 0.000 0.500
Br1 0.000 0.000 0.330
O1 0.000 0.500 0.000
```